Theoretical powder diffractogram of Li3NiF6 for Cu Kα X-rays, from DFT lattice parameters and positions (GGA+U).
Kinematic intensities with the Lorentz-polarization factor, no thermal factor.

Cell and atoms:
a = 9.774 Å, b = 8.488 Å, c = 5.046 Å
α = 90.00°, β = 90.00°, γ = 90.00°
Fractional positions:
Li (0.106, 0.046, 0.000)
Li (0.125, 0.648, 0.488)
Li (0.146, 0.452, 0.992)
Li (0.354, 0.952, 0.492)
Li (0.375, 0.148, 0.988)
Li (0.394, 0.546, 0.500)
Li (0.606, 0.454, 0.000)
Li (0.625, 0.852, 0.488)
Li (0.646, 0.048, 0.992)
Li (0.854, 0.548, 0.492)
Li (0.875, 0.352, 0.988)
Li (0.894, 0.954, 0.500)
Ni (0.128, 0.261, 0.496)
Ni (0.372, 0.761, 0.996)
Ni (0.628, 0.239, 0.496)
Ni (0.872, 0.739, 0.996)
F (0.011, 0.413, 0.675)
F (0.022, 0.255, 0.174)
F (0.026, 0.092, 0.651)
F (0.225, 0.439, 0.351)
F (0.239, 0.268, 0.811)
F (0.247, 0.113, 0.314)
F (0.253, 0.613, 0.814)
F (0.261, 0.768, 0.311)
F (0.275, 0.939, 0.851)
F (0.474, 0.592, 0.151)
F (0.478, 0.755, 0.674)
F (0.489, 0.913, 0.175)
F (0.511, 0.087, 0.675)
F (0.522, 0.245, 0.174)
F (0.526, 0.408, 0.651)
F (0.725, 0.061, 0.351)
F (0.739, 0.232, 0.811)
F (0.747, 0.387, 0.314)
F (0.753, 0.887, 0.814)
F (0.761, 0.732, 0.311)
F (0.775, 0.561, 0.851)
F (0.974, 0.908, 0.151)
F (0.978, 0.745, 0.674)
F (0.989, 0.587, 0.175)

Most intense lines, 2θ from 10° to 90°, in order of rising 2θ:
2theta, I_rel
20.48, 48
20.97, 100
25.37, 32
33.12, 32
40.23, 18
40.97, 35
41.66, 16
52.09, 23
52.72, 24
64.45, 13


Theoretical powder diffractogram of NiSb2H12O6F8 for Cu Kα X-rays, from DFT lattice parameters and positions (GGA+U).
Kinematic intensities with the Lorentz-polarization factor, no thermal factor.

Cell and atoms:
a = 5.040 Å, b = 18.271 Å, c = 7.690 Å
α = 90.00°, β = 118.88°, γ = 90.00°
Fractional positions:
Ni (0.000, 0.000, 0.000)
Ni (0.000, 0.500, 0.500)
Sb (0.375, 0.216, 0.476)
Sb (0.375, 0.284, 0.976)
Sb (0.625, 0.716, 0.024)
Sb (0.625, 0.784, 0.524)
H (0.127, 0.589, 0.796)
H (0.127, 0.911, 0.296)
H (0.211, 0.111, 0.855)
H (0.211, 0.389, 0.355)
H (0.263, 0.623, 0.468)
H (0.263, 0.877, 0.968)
H (0.274, 0.560, 0.331)
H (0.274, 0.940, 0.831)
H (0.446, 0.055, 0.333)
H (0.446, 0.445, 0.833)
H (0.459, 0.025, 0.689)
H (0.459, 0.475, 0.189)
H (0.541, 0.525, 0.811)
H (0.541, 0.975, 0.311)
H (0.554, 0.555, 0.167)
H (0.554, 0.945, 0.667)
H (0.726, 0.060, 0.169)
H (0.726, 0.440, 0.669)
H (0.737, 0.123, 0.032)
H (0.737, 0.377, 0.532)
H (0.789, 0.611, 0.645)
H (0.789, 0.889, 0.145)
H (0.873, 0.089, 0.704)
H (0.873, 0.411, 0.204)
O (0.065, 0.069, 0.809)
O (0.065, 0.431, 0.309)
O (0.145, 0.581, 0.383)
O (0.145, 0.919, 0.883)
O (0.458, 0.021, 0.236)
O (0.458, 0.479, 0.736)
O (0.542, 0.521, 0.264)
O (0.542, 0.979, 0.764)
O (0.855, 0.081, 0.117)
O (0.855, 0.419, 0.617)
O (0.935, 0.569, 0.691)
O (0.935, 0.931, 0.191)
F (0.183, 0.720, 0.853)
F (0.183, 0.780, 0.353)
F (0.424, 0.186, 0.243)
F (0.424, 0.314, 0.743)
F (0.455, 0.181, 0.886)
F (0.455, 0.319, 0.386)
F (0.475, 0.099, 0.539)
F (0.475, 0.401, 0.039)
F (0.525, 0.599, 0.961)
F (0.525, 0.901, 0.461)
F (0.545, 0.681, 0.614)
F (0.545, 0.819, 0.114)
F (0.576, 0.686, 0.257)
F (0.576, 0.814, 0.757)
F (0.817, 0.220, 0.647)
F (0.817, 0.280, 0.147)

Most intense lines, 2θ from 10° to 90°, in order of rising 2θ:
2theta, I_rel
18.59, 49
19.43, 55
19.65, 100
20.12, 41
20.71, 48
22.37, 97
26.21, 85
30.41, 39
36.93, 44
41.18, 56


Theoretical powder diffractogram of Na3Ni2P2C2O14 for Cu Kα X-rays, from DFT lattice parameters and positions (GGA+U).
Kinematic intensities with the Lorentz-polarization factor, no thermal factor.

Cell and atoms:
a = 6.441 Å, b = 8.920 Å, c = 10.314 Å
α = 88.21°, β = 89.77°, γ = 89.12°
Fractional positions:
Na (0.000, 0.000, 0.000)
Na (0.005, 0.006, 0.518)
Na (0.040, 0.493, 0.761)
Na (0.478, 0.476, 0.263)
Na (0.512, 0.495, 0.765)
Na (0.760, 0.831, 0.280)
Ni (0.281, 0.087, 0.277)
Ni (0.288, 0.086, 0.777)
Ni (0.779, 0.400, 0.998)
Ni (0.779, 0.402, 0.493)
P (0.277, 0.317, 0.528)
P (0.278, 0.314, 0.024)
P (0.778, 0.173, 0.246)
P (0.779, 0.172, 0.744)
C (0.274, 0.818, 0.240)
C (0.277, 0.818, 0.742)
C (0.773, 0.672, 0.528)
C (0.776, 0.669, 0.031)
O (0.089, 0.424, 0.502)
O (0.092, 0.418, 0.986)
O (0.268, 0.172, 0.453)
O (0.271, 0.921, 0.147)
O (0.272, 0.680, 0.724)
O (0.275, 0.167, 0.952)
O (0.276, 0.681, 0.220)
O (0.277, 0.874, 0.355)
O (0.278, 0.876, 0.856)
O (0.282, 0.276, 0.172)
O (0.282, 0.919, 0.649)
O (0.284, 0.279, 0.677)
O (0.463, 0.417, 0.491)
O (0.464, 0.416, 0.988)
O (0.592, 0.068, 0.275)
O (0.596, 0.071, 0.779)
O (0.766, 0.568, 0.125)
O (0.766, 0.613, 0.414)
O (0.770, 0.319, 0.319)
O (0.772, 0.572, 0.623)
O (0.777, 0.611, 0.917)
O (0.779, 0.320, 0.818)
O (0.783, 0.810, 0.542)
O (0.785, 0.806, 0.052)
O (0.788, 0.214, 0.597)
O (0.791, 0.212, 0.098)
O (0.962, 0.065, 0.284)
O (0.969, 0.069, 0.779)

Most intense lines, 2θ from 10° to 90°, in order of rising 2θ:
2theta, I_rel
16.86, 44
17.11, 49
19.62, 44
20.17, 58
26.02, 56
27.71, 100
34.36, 35
34.60, 28
34.81, 47
57.21, 26


Theoretical powder diffractogram of Li3FeP2O8 for Cu Kα X-rays, from DFT lattice parameters and positions (GGA+U).
Kinematic intensities with the Lorentz-polarization factor, no thermal factor.

Cell and atoms:
a = 8.243 Å, b = 10.400 Å, c = 8.330 Å
α = 90.00°, β = 105.26°, γ = 90.00°
Fractional positions:
Li (0.046, 0.000, 0.034)
Li (0.100, 0.744, 0.838)
Li (0.107, 0.914, 0.348)
Li (0.142, 0.425, 0.415)
Li (0.146, 0.235, 0.904)
Li (0.329, 0.724, 0.591)
Li (0.671, 0.224, 0.409)
Li (0.854, 0.735, 0.096)
Li (0.858, 0.925, 0.585)
Li (0.893, 0.414, 0.652)
Li (0.900, 0.244, 0.162)
Li (0.954, 0.500, 0.966)
Fe (0.404, 0.238, 0.660)
Fe (0.409, 0.416, 0.161)
Fe (0.591, 0.916, 0.839)
Fe (0.596, 0.738, 0.340)
P (0.206, 0.986, 0.718)
P (0.220, 0.665, 0.217)
P (0.264, 0.485, 0.794)
P (0.266, 0.176, 0.289)
P (0.734, 0.676, 0.711)
P (0.736, 0.985, 0.206)
P (0.780, 0.165, 0.783)
P (0.794, 0.486, 0.282)
O (0.073, 0.674, 0.058)
O (0.073, 0.973, 0.553)
O (0.111, 0.420, 0.837)
O (0.123, 0.252, 0.330)
O (0.148, 0.934, 0.865)
O (0.182, 0.731, 0.365)
O (0.225, 0.037, 0.240)
O (0.239, 0.625, 0.745)
O (0.260, 0.132, 0.753)
O (0.261, 0.517, 0.257)
O (0.307, 0.406, 0.648)
O (0.317, 0.247, 0.140)
O (0.368, 0.911, 0.699)
O (0.386, 0.722, 0.184)
O (0.419, 0.467, 0.950)
O (0.428, 0.190, 0.445)
O (0.572, 0.690, 0.555)
O (0.581, 0.967, 0.050)
O (0.614, 0.222, 0.816)
O (0.632, 0.411, 0.301)
O (0.683, 0.747, 0.860)
O (0.693, 0.906, 0.352)
O (0.739, 0.017, 0.743)
O (0.740, 0.632, 0.247)
O (0.761, 0.125, 0.255)
O (0.775, 0.537, 0.760)
O (0.818, 0.231, 0.635)
O (0.852, 0.434, 0.135)
O (0.877, 0.752, 0.670)
O (0.889, 0.920, 0.163)
O (0.927, 0.174, 0.942)
O (0.927, 0.473, 0.447)

Most intense lines, 2θ from 10° to 90°, in order of rising 2θ:
2theta, I_rel
11.13, 27
13.98, 64
15.93, 39
21.78, 100
22.12, 79
22.36, 28
23.96, 46
32.18, 54
34.50, 40
35.70, 52


Theoretical powder diffractogram of Li9Mn2Co5O16 for Cu Kα X-rays, from DFT lattice parameters and positions (GGA+U).
Kinematic intensities with the Lorentz-polarization factor, no thermal factor.

Cell and atoms:
a = 9.788 Å, b = 2.913 Å, c = 10.320 Å
α = 90.00°, β = 99.89°, γ = 90.00°
Fractional positions:
Li (0.000, 0.000, 0.000)
Li (0.002, 0.500, 0.763)
Li (0.242, 0.000, 0.383)
Li (0.246, 0.000, 0.873)
Li (0.501, 0.500, 0.510)
Li (0.507, 0.500, 0.988)
Li (0.758, 0.000, 0.122)
Li (0.761, 0.000, 0.643)
Li (0.992, 0.500, 0.242)
Mn (0.242, 0.500, 0.119)
Mn (0.500, 0.000, 0.249)
Co (0.002, 0.000, 0.507)
Co (0.255, 0.500, 0.628)
Co (0.510, 0.000, 0.752)
Co (0.754, 0.500, 0.380)
Co (0.769, 0.500, 0.896)
O (0.120, 0.500, 0.446)
O (0.137, 0.000, 0.684)
O (0.142, 0.500, 0.956)
O (0.144, 0.000, 0.185)
O (0.369, 0.000, 0.080)
O (0.371, 0.000, 0.567)
O (0.385, 0.500, 0.300)
O (0.386, 0.500, 0.805)
O (0.604, 0.500, 0.190)
O (0.622, 0.500, 0.693)
O (0.623, 0.000, 0.417)
O (0.632, 0.000, 0.932)
O (0.868, 0.000, 0.325)
O (0.868, 0.500, 0.062)
O (0.869, 0.000, 0.824)
O (0.886, 0.500, 0.563)

Most intense lines, 2θ from 10° to 90°, in order of rising 2θ:
2theta, I_rel
18.28, 100
35.52, 15
36.02, 26
42.99, 28
43.62, 55
47.47, 13
57.45, 10
62.73, 14
63.09, 14
63.91, 8